No. 1
Simulated PXRD pattern
Compound: Ge4Te7As2
Radiation: copper Kα
Structure: a structure optimized by DFT (GGA-PBE)

Structural model:
Lattice parameters (Å, degrees): 4.1821 4.1821 72.5336 90.00 90.00 120.00
Space group R-3m (No. 166, hexagonal axes)
One atom of each set of equivalent atoms:
Ge  0.0000  0.0000  0.0733 (multiplicity 6)
Ge  0.0000  0.0000  0.3090 (multiplicity 6)
Te  0.0000  0.0000  0.0000 (multiplicity 3)
Te  0.0000  0.0000  0.1436 (multiplicity 6)
Te  0.0000  0.0000  0.2364 (multiplicity 6)
Te  0.0000  0.0000  0.3817 (multiplicity 6)
As  0.0000  0.0000  0.4559 (multiplicity 6)

Top 10 peaks for 2θ from 10° to 80°, in order of rising 2θ:
hkl 0 1 8, 2θ 26.50, 3.363 Å, rel. 10; hkl 1 0 13, 2θ 29.40, 3.038 Å, rel. 100; hkl 1 0 16, 2θ 31.62, 2.830 Å, rel. 13; hkl 0 1 26, 2θ 40.83, 2.210 Å, rel. 20; hkl 1 1 0, 2θ 43.27, 2.091 Å, rel. 43; hkl 0 1 29, 2θ 44.00, 2.058 Å, rel. 19; hkl 0 2 13, 2θ 53.18, 1.722 Å, rel. 19; hkl 1 1 42, 2θ 70.75, 1.332 Å, rel. 16; hkl 2 1 13, 2θ 70.88, 1.329 Å, rel. 16; hkl 1 0 55, 2θ 76.94, 1.239 Å, rel. 7

***

No. 2
Simulated PXRD pattern
Compound: GeTe7As4
Radiation: copper Kα
Structure: a structure optimized by DFT (GGA-PBE)

Structural model:
Lattice parameters (Å, degrees): 4.1241 4.1241 23.4085 90.00 90.00 120.00
Space group P-3m1 (No. 164)
One atom of each set of equivalent atoms:
Ge  0.0000  0.0000  0.0000 (multiplicity 1)
Te  0.0000  0.0000  0.2227 (multiplicity 2)
Te  0.0000  0.0000  0.5000 (multiplicity 1)
Te  0.3333  0.6667  0.6466 (multiplicity 2)
Te  0.3333  0.6667  0.9242 (multiplicity 2)
As  0.3333  0.6667  0.1556 (multiplicity 2)
As  0.3333  0.6667  0.4213 (multiplicity 2)

Top 10 peaks for 2θ from 10° to 80°, in order of rising 2θ:
hkl 0 1 3, 2θ 27.46, 3.248 Å, rel. 11; hkl 1 0 4, 2θ 29.29, 3.049 Å, rel. 100; hkl 1 0 6, 2θ 34.03, 2.634 Å, rel. 9; hkl 0 1 8, 2θ 39.83, 2.263 Å, rel. 27; hkl 1 1 0, 2θ 43.91, 2.062 Å, rel. 38; hkl 0 1 10, 2θ 46.38, 1.958 Å, rel. 12; hkl 0 2 4, 2θ 53.66, 1.708 Å, rel. 18; hkl 2 0 8, 2θ 60.76, 1.524 Å, rel. 8; hkl 2 1 4, 2θ 71.76, 1.315 Å, rel. 15; hkl 1 1 14, 2θ 72.82, 1.299 Å, rel. 12

***

No. 3
Simulated PXRD pattern
Compound: GeTeAs2
Radiation: copper Kα
Structure: a structure optimized by DFT (GGA-PBE)

Structural model:
Lattice parameters (Å, degrees): 3.9838 3.9838 19.8933 90.00 90.00 120.00
Space group R-3m (No. 166, hexagonal axes)
One atom of each set of equivalent atoms:
Ge  0.0000  0.0000  0.0000 (multiplicity 3)
Te  0.0000  0.0000  0.5000 (multiplicity 3)
As  0.0000  0.0000  0.2600 (multiplicity 6)

Top 10 peaks for 2θ from 10° to 80°, in order of rising 2θ:
hkl 1 0 1, 2θ 26.22, 3.399 Å, rel. 4; hkl 1 0 4, 2θ 31.56, 2.835 Å, rel. 100; hkl 0 1 5, 2θ 34.41, 2.607 Å, rel. 6; hkl 0 1 8, 2θ 44.93, 2.017 Å, rel. 34; hkl 1 1 0, 2θ 45.54, 1.992 Å, rel. 37; hkl 0 0 12, 2θ 55.42, 1.658 Å, rel. 5; hkl 0 2 4, 2θ 56.46, 1.630 Å, rel. 19; hkl 2 0 8, 2θ 65.90, 1.417 Å, rel. 11; hkl 1 1 12, 2θ 74.46, 1.274 Å, rel. 13; hkl 2 1 4, 2θ 75.35, 1.261 Å, rel. 16

***

No. 4
Simulated PXRD pattern
Compound: TiGeAs2
Radiation: copper Kα
Structure: a structure optimized by DFT (GGA-PBE)

Structural model:
Lattice parameters (Å, degrees): 3.6408 3.6408 20.9276 90.00 90.00 120.00
Space group R3m (No. 160, hexagonal axes)
One atom of each set of equivalent atoms:
Ti  0.0000  0.0000  0.0000 (multiplicity 3)
Ge  0.0000  0.0000  0.1570 (multiplicity 3)
As  0.0000  0.0000  0.4136 (multiplicity 3)
As  0.0000  0.0000  0.5976 (multiplicity 3)

Top 10 peaks for 2θ from 10° to 80°, in order of rising 2θ:
hkl 1 0 1, 2θ 28.63, 3.118 Å, rel. 19; hkl 0 1 2, 2θ 29.59, 3.019 Å, rel. 42; hkl 1 0 4, 2θ 33.17, 2.701 Å, rel. 43; hkl 0 1 5, 2θ 35.65, 2.518 Å, rel. 100; hkl 1 0 7, 2θ 41.63, 2.169 Å, rel. 62; hkl 1 1 0, 2θ 50.11, 1.820 Å, rel. 60; hkl 0 0 12, 2θ 52.47, 1.744 Å, rel. 18; hkl 2 0 5, 2θ 63.01, 1.475 Å, rel. 18; hkl 0 2 7, 2θ 67.12, 1.395 Å, rel. 17; hkl 1 1 12, 2θ 75.49, 1.259 Å, rel. 23

***

No. 5
Simulated PXRD pattern
Compound: Ti3GeAs
Radiation: copper Kα
Structure: a structure optimized by DFT (GGA-PBE)

Structural model:
Lattice parameters (Å, degrees): 13.8763 3.5664 7.5960 90.00 104.77 90.00
Space group C2/m (No. 12)
One atom of each set of equivalent atoms:
Ti  0.0124  0.0000  0.2139 (multiplicity 4)
Ti  0.1840  0.0000  0.8988 (multiplicity 4)
Ti  0.2272  0.0000  0.3250 (multiplicity 4)
Ge  0.1098  0.5000  0.0707 (multiplicity 4)
As  0.1253  0.0000  0.5606 (multiplicity 4)

Top 10 peaks for 2θ from 10° to 80°, in order of rising 2θ:
hkl 1 1 0, 2θ 25.85, 3.447 Å, rel. 32; hkl 1 1 -1, 2θ 27.86, 3.202 Å, rel. 54; hkl 1 1 -2, 2θ 34.50, 2.600 Å, rel. 40; hkl 3 1 1, 2θ 36.23, 2.479 Å, rel. 47; hkl 4 0 2, 2θ 40.80, 2.212 Å, rel. 62; hkl 5 1 -1, 2θ 41.39, 2.181 Å, rel. 100; hkl 6 0 -2, 2θ 41.58, 2.172 Å, rel. 30; hkl 5 1 0, 2θ 42.14, 2.144 Å, rel. 30; hkl 1 1 -3, 2θ 43.94, 2.061 Å, rel. 68; hkl 0 2 0, 2θ 51.23, 1.783 Å, rel. 40

***

No. 6
Simulated PXRD pattern
Compound: TlGeAs3
Radiation: copper Kα
Structure: a structure optimized by DFT (GGA-PBE)

Structural model:
Lattice parameters (Å, degrees): 5.9189 5.9239 7.1794 96.66 96.09 101.06
Space group P-1 (No. 2)
One atom of each set of equivalent atoms:
Tl  0.1350  0.3647  0.2496 (multiplicity 2)
Ge  0.5000  0.0000  0.0000 (multiplicity 1)
Ge  0.5000  0.0000  0.5000 (multiplicity 1)
As  0.1505  0.8601  0.2123 (multiplicity 2)
As  0.2776  0.2234  0.7511 (multiplicity 2)
As  0.3607  0.6505  0.7111 (multiplicity 2)

Top 10 peaks for 2θ from 10° to 80°, in order of rising 2θ:
hkl 1 0 -1, 2θ 18.51, 4.794 Å, rel. 25; hkl 1 1 0, 2θ 24.01, 3.706 Å, rel. 28; hkl 0 0 2, 2θ 25.20, 3.534 Å, rel. 73; hkl 1 0 2, 2θ 31.39, 2.850 Å, rel. 22; hkl 1 -2 0, 2θ 31.75, 2.818 Å, rel. 30; hkl 2 0 -1, 2θ 31.93, 2.803 Å, rel. 100; hkl 2 0 1, 2θ 35.16, 2.552 Å, rel. 43; hkl 0 2 1, 2θ 35.27, 2.545 Å, rel. 37; hkl 1 2 -2, 2θ 41.97, 2.153 Å, rel. 25; hkl 2 2 0, 2θ 49.16, 1.853 Å, rel. 27

***

No. 7
Simulated PXRD pattern
Compound: Tm4GeAs3
Radiation: copper Kα
Structure: a structure optimized by DFT (GGA-PBE)

Structural model:
Lattice parameters (Å, degrees): 5.7571 5.7571 5.7571 90.00 90.00 90.00
Space group Pm-3m (No. 221)
One atom of each set of equivalent atoms:
Tm  0.0000  0.0000  0.0000 (multiplicity 1)
Tm  0.0000  0.5000  0.5000 (multiplicity 3)
Ge  0.5000  0.5000  0.5000 (multiplicity 1)
As  0.0000  0.0000  0.5000 (multiplicity 3)

Top 8 peaks for 2θ from 10° to 80°, in order of rising 2θ:
hkl 1 1 1, 2θ 26.82, 3.324 Å, rel. 26; hkl 2 0 0, 2θ 31.07, 2.879 Å, rel. 100; hkl 2 2 0, 2θ 44.51, 2.035 Å, rel. 74; hkl 3 1 1, 2θ 52.73, 1.736 Å, rel. 13; hkl 2 2 2, 2θ 55.27, 1.662 Å, rel. 26; hkl 4 0 0, 2θ 64.77, 1.439 Å, rel. 12; hkl 3 3 1, 2θ 71.42, 1.321 Å, rel. 5; hkl 4 2 0, 2θ 73.58, 1.287 Å, rel. 34

***

No. 8
Simulated PXRD pattern
Compound: UGeAs4
Radiation: copper Kα
Structure: a structure optimized by DFT (GGA-PBE)

Structural model:
Lattice parameters (Å, degrees): 7.9121 5.6526 5.7291 90.00 97.32 90.00
Space group P2_1/c (No. 14)
One atom of each set of equivalent atoms:
U  0.0000  0.0000  0.0000 (multiplicity 2)
Ge  0.5000  0.0000  0.5000 (multiplicity 2)
As  0.1599  0.0194  0.5439 (multiplicity 4)
As  0.3735  0.5760  0.5728 (multiplicity 4)

Top 10 peaks for 2θ from 10° to 80°, in order of rising 2θ:
hkl 1 0 0, 2θ 11.28, 7.848 Å, rel. 43; hkl 2 0 0, 2θ 22.66, 3.924 Å, rel. 34; hkl 0 0 2, 2θ 31.49, 2.841 Å, rel. 78; hkl 0 2 0, 2θ 31.66, 2.826 Å, rel. 80; hkl 1 0 -2, 2θ 32.11, 2.788 Å, rel. 26; hkl 2 1 1, 2θ 33.36, 2.686 Å, rel. 46; hkl 3 1 -1, 2θ 39.41, 2.287 Å, rel. 100; hkl 3 1 1, 2θ 42.95, 2.106 Å, rel. 60; hkl 0 2 2, 2θ 45.25, 2.004 Å, rel. 48; hkl 3 1 -3, 2θ 58.76, 1.571 Å, rel. 29

***

No. 9
Simulated PXRD pattern
Compound: V8Ge3As2
Radiation: copper Kα
Structure: a structure optimized by DFT (GGA-PBE)

Structural model:
Lattice parameters (Å, degrees): 6.8202 14.3776 4.0032 90.00 90.00 90.00
Space group Cmmm (No. 65)
One atom of each set of equivalent atoms:
V  0.0000  0.1314  0.0000 (multiplicity 4)
V  0.0000  0.3465  0.0000 (multiplicity 4)
V  0.2240  0.3829  0.5000 (multiplicity 8)
Ge  0.0000  0.0000  0.5000 (multiplicity 2)
Ge  0.2006  0.5000  0.0000 (multiplicity 4)
As  0.0000  0.2385  0.5000 (multiplicity 4)

Top 10 peaks for 2θ from 10° to 80°, in order of rising 2θ:
hkl 0 2 1, 2θ 25.47, 3.497 Å, rel. 11; hkl 2 2 0, 2θ 28.98, 3.081 Å, rel. 21; hkl 3 1 0, 2θ 40.16, 2.245 Å, rel. 10; hkl 1 5 1, 2θ 40.84, 2.209 Å, rel. 17; hkl 2 4 1, 2θ 42.98, 2.104 Å, rel. 100; hkl 0 6 1, 2θ 44.05, 2.056 Å, rel. 15; hkl 0 0 2, 2θ 45.31, 2.002 Å, rel. 26; hkl 0 8 0, 2θ 50.80, 1.797 Å, rel. 13; hkl 4 0 0, 2θ 53.76, 1.705 Å, rel. 10; hkl 0 8 2, 2θ 70.41, 1.337 Å, rel. 9

***

No. 10
Simulated PXRD pattern
Compound: Zr4GeAs
Radiation: copper Kα
Structure: a structure optimized by DFT (GGA-PBE)

Structural model:
Lattice parameters (Å, degrees): 6.6353 6.6353 5.4792 90.00 90.00 90.00
Space group P4/mcc (No. 124)
One atom of each set of equivalent atoms:
Zr  0.1569  0.3425  0.0000 (multiplicity 8)
Ge  0.0000  0.0000  0.2500 (multiplicity 2)
As  0.5000  0.5000  0.2500 (multiplicity 2)

Top 10 peaks for 2θ from 10° to 80°, in order of rising 2θ:
hkl 2 1 1, 2θ 34.37, 2.609 Å, rel. 100; hkl 1 1 2, 2θ 38.03, 2.366 Å, rel. 33; hkl 2 2 0, 2θ 38.37, 2.346 Å, rel. 10; hkl 2 0 2, 2θ 42.81, 2.112 Å, rel. 29; hkl 3 1 0, 2θ 43.11, 2.098 Å, rel. 40; hkl 2 1 3, 2θ 59.42, 1.555 Å, rel. 20; hkl 4 1 1, 2θ 59.90, 1.544 Å, rel. 12; hkl 4 0 2, 2θ 65.82, 1.419 Å, rel. 15; hkl 3 3 2, 2θ 69.17, 1.358 Å, rel. 20; hkl 5 2 1, 2θ 79.78, 1.202 Å, rel. 11

***

No. 11
Simulated PXRD pattern
Compound: AsH
Radiation: copper Kα
Structure: a structure optimized by DFT (GGA-PBE)

Structural model:
Lattice parameters (Å, degrees): 8.0533 4.7176 5.4522 90.00 90.00 90.00
Space group Pmn2_1 (No. 31)
One atom of each set of equivalent atoms:
As  0.0000  0.1453  0.0000 (multiplicity 2)
As  0.2357  0.4868  0.9790 (multiplicity 4)
H  0.0000  0.0984  0.7186 (multiplicity 2)
H  0.1426  0.7664  0.4779 (multiplicity 4)

Top 10 peaks for 2θ from 10° to 80°, in order of rising 2θ:
hkl 0 1 0, 2θ 18.81, 4.718 Å, rel. 41; hkl 1 0 1, 2θ 19.66, 4.515 Å, rel. 52; hkl 1 1 0, 2θ 21.83, 4.071 Å, rel. 19; hkl 0 1 1, 2θ 24.96, 3.568 Å, rel. 22; hkl 2 1 0, 2θ 29.16, 3.063 Å, rel. 100; hkl 0 0 2, 2θ 32.85, 2.726 Å, rel. 49; hkl 0 2 0, 2θ 38.14, 2.360 Å, rel. 25; hkl 2 1 2, 2θ 44.50, 2.036 Å, rel. 82; hkl 4 0 0, 2θ 45.03, 2.013 Å, rel. 18; hkl 2 2 2, 2θ 56.42, 1.631 Å, rel. 22